Diffraction record for BaZn3Ag4. The powder diffractogram is theoretical, not measured: it uses a DFT-relaxed cell (GGA-PBE, OQMD) and Cu Kα X-rays.
Lines closer than 0.1° are merged.

The 10 most intense peaks (10° ≤ 2θ ≤ 90°), in order of rising 2θ:
d 3.288, I = 67, (1 1 -1); d 3.124, I = 42, (1 0 -2); d 2.571, I = 70, (1 1 -2); d 2.467, I = 89, (2 1 0); d 2.354, I = 98, (1 1 2); d 2.262, I = 100, (0 2 0); d 2.245, I = 42, (0 0 3); d 2.231, I = 74, (2 1 1); d 2.116, I = 48, (2 1 -2); d 1.684, I = 48, (1 0 -4)

Structure:
a b c (Å): 5.9470 4.5245 6.8077
angles (deg): 90.00 98.31 90.00
Space group Pm (No. 6)
Unique sites:
Ba 0.0000 0.0000 0.0000 (multiplicity 1)
Zn 0.1588 0.5000 0.5899 (multiplicity 1)
Zn 0.5228 0.0000 0.2289 (multiplicity 1)
Zn 0.6969 0.5000 0.6528 (multiplicity 1)
Ag 0.4223 0.0000 0.6250 (multiplicity 1)
Ag 0.4538 0.5000 0.9400 (multiplicity 1)
Ag 0.7646 0.5000 0.2821 (multiplicity 1)
Ag 0.9179 0.0000 0.5105 (multiplicity 1)

=====

Diffraction record for Gd3Tl3Sn2Pb2. The powder diffractogram is theoretical, not measured: it uses a DFT-relaxed cell (GGA-PBE, OQMD) and Cu Kα X-rays.
Lines closer than 0.1° are merged.

The 10 most intense peaks (10° ≤ 2θ ≤ 90°), in order of rising 2θ:
d 2.767, I = 100, (1 5 1); d 2.566, I = 19, (0 10 0); d 2.323, I = 32, (2 0 0); d 1.722, I = 23, (2 10 0); d 1.643, I = 11, (2 0 2); d 1.517, I = 14, (1 15 1); d 1.413, I = 26, (3 5 1); d 1.383, I = 11, (2 10 2); d 1.123, I = 4, (2 20 0); d 1.115, I = 10, (3 15 1)

Structure:
a b c (Å): 4.6455 25.6589 4.6470
angles (deg): 90.00 90.00 90.00
Space group Cmmm (No. 65)
Unique sites:
Gd 0.0000 0.0000 0.0000 (multiplicity 2)
Gd 0.0000 0.1905 0.0000 (multiplicity 4)
Tl 0.0000 0.4028 0.0000 (multiplicity 4)
Tl 0.0000 0.5000 0.5000 (multiplicity 2)
Sn 0.0000 0.2915 0.5000 (multiplicity 4)
Pb 0.0000 0.0978 0.5000 (multiplicity 4)

=====

Diffraction record for Ag2TeSe2S. The powder diffractogram is theoretical, not measured: it uses a DFT-relaxed cell (GGA-PBE, OQMD) and Cu Kα X-rays.
Lines closer than 0.1° are merged.

The 10 most intense peaks (10° ≤ 2θ ≤ 90°), in order of rising 2θ:
d 3.684, I = 60, (0 0 2); d 3.399, I = 75, (1 3 0); d 3.223, I = 80, (2 0 -2); d 2.849, I = 100, (1 3 1); d 2.252, I = 43, (1 3 2); d 2.033, I = 67, (2 0 2); d 2.023, I = 22, (2 0 -4); d 1.929, I = 31, (0 6 1); d 1.892, I = 19, (3 3 -3); d 1.803, I = 27, (1 3 3)

Structure:
a b c (Å): 7.1786 11.9931 8.1821
angles (deg): 90.00 115.79 90.00
Space group Cc (No. 9)
Unique sites:
Ag 0.0000 0.0472 0.0000 (multiplicity 4)
Ag 0.0257 0.2833 0.4761 (multiplicity 4)
Te 0.0361 0.3974 0.9914 (multiplicity 4)
Se 0.2495 0.2212 0.1153 (multiplicity 4)
Se 0.2941 0.1245 0.6492 (multiplicity 4)
S 0.2751 0.4620 0.6799 (multiplicity 4)

=====

Diffraction record for BeAl2FeCu4. The powder diffractogram is theoretical, not measured: it uses a DFT-relaxed cell (GGA-PBE, OQMD) and Cu Kα X-rays.
Lines closer than 0.1° are merged.

The 10 most intense peaks (10° ≤ 2θ ≤ 90°), in order of rising 2θ:
d 3.108, I = 13, (0 0 2); d 2.739, I = 19, (1 1 0); d 2.507, I = 7, (1 1 1); d 2.055, I = 100, (1 1 2); d 1.937, I = 42, (2 0 0); d 1.644, I = 7, (2 0 2); d 1.554, I = 9, (0 0 4); d 1.370, I = 12, (2 2 0); d 1.212, I = 15, (2 0 4); d 1.140, I = 26, (3 1 2)

Structure:
a b c (Å): 3.8740 3.8740 6.2164
angles (deg): 90.00 90.00 90.00
Space group P4/mmm (No. 123)
Unique sites:
Be 0.0000 0.0000 0.0000 (multiplicity 1)
Al 0.0000 0.0000 0.5000 (multiplicity 1)
Al 0.5000 0.5000 0.0000 (multiplicity 1)
Fe 0.5000 0.5000 0.5000 (multiplicity 1)
Cu 0.0000 0.5000 0.2357 (multiplicity 4)

=====

Repeat the second record exactly.
Diffraction record for Gd3Tl3Sn2Pb2. The powder diffractogram is theoretical, not measured: it uses a DFT-relaxed cell (GGA-PBE, OQMD) and Cu Kα X-rays.
Lines closer than 0.1° are merged.

The 10 most intense peaks (10° ≤ 2θ ≤ 90°), in order of rising 2θ:
d 2.767, I = 100, (1 5 1); d 2.566, I = 19, (0 10 0); d 2.323, I = 32, (2 0 0); d 1.722, I = 23, (2 10 0); d 1.643, I = 11, (2 0 2); d 1.517, I = 14, (1 15 1); d 1.413, I = 26, (3 5 1); d 1.383, I = 11, (2 10 2); d 1.123, I = 4, (2 20 0); d 1.115, I = 10, (3 15 1)

Structure:
a b c (Å): 4.6455 25.6589 4.6470
angles (deg): 90.00 90.00 90.00
Space group Cmmm (No. 65)
Unique sites:
Gd 0.0000 0.0000 0.0000 (multiplicity 2)
Gd 0.0000 0.1905 0.0000 (multiplicity 4)
Tl 0.0000 0.4028 0.0000 (multiplicity 4)
Tl 0.0000 0.5000 0.5000 (multiplicity 2)
Sn 0.0000 0.2915 0.5000 (multiplicity 4)
Pb 0.0000 0.0978 0.5000 (multiplicity 4)